Simulated XRD peak list of CsRb4Hg5 for Cu Kα, 1.54184 Å, from a DFT-relaxed cell (GGA-PBE, Alexandria).

Structure:
a = 13.3920 Å, b = 13.5438 Å, c = 5.2309 Å
α = 90.00°, β = 90.00°, γ = 90.00°
Space group Pmmn (No. 59, origin choice 2)
One atom of each set of equivalent atoms:
Cs1 0.2500 0.2500 0.0411 (multiplicity 2)
Rb1 0.0311 0.7500 0.2871 (multiplicity 4)
Rb2 0.2500 0.5365 0.2858 (multiplicity 4)
Hg1 0.0404 0.5423 0.7563 (multiplicity 8)
Hg2 0.2500 0.7500 0.7798 (multiplicity 2)

Principal peaks in the range 10 to 90 degrees two-theta, in order of falling intensity:
2θ = 29.38°, intensity 100; 2θ = 18.64°, intensity 31; 2θ = 26.30°, intensity 27; 2θ = 26.63°, intensity 20; 2θ = 52.23°, intensity 17; 2θ = 52.71°, intensity 15; 2θ = 34.28°, intensity 14; 2θ = 37.77°, intensity 14; 2θ = 60.10°, intensity 13; 2θ = 58.41°, intensity 12; 2θ = 36.87°, intensity 11; 2θ = 13.22°, intensity 11

=====

Simulated XRD peak list of CsRbHg4 for Cu Kα, 1.54184 Å, from a DFT-relaxed cell (GGA-PBE, Alexandria).

Structure:
a = 4.7971 Å, b = 5.4853 Å, c = 9.4143 Å
α = 90.00°, β = 90.00°, γ = 90.00°
Space group Pmmm (No. 47)
One atom of each set of equivalent atoms:
Cs1 0.0000 0.0000 0.0000 (multiplicity 1)
Rb1 0.0000 0.5000 0.5000 (multiplicity 1)
Hg1 0.5000 0.0000 0.3362 (multiplicity 2)
Hg2 0.5000 0.5000 0.1718 (multiplicity 2)

Principal peaks in the range 10 to 90 degrees two-theta, in order of falling intensity:
2θ = 26.47°, intensity 100; 2θ = 32.88°, intensity 52; 2θ = 18.50°, intensity 34; 2θ = 50.71°, intensity 31; 2θ = 32.65°, intensity 27; 2θ = 37.99°, intensity 25; 2θ = 42.55°, intensity 19; 2θ = 37.50°, intensity 18; 2θ = 50.55°, intensity 16; 2θ = 71.52°, intensity 13; 2θ = 37.78°, intensity 12; 2θ = 58.42°, intensity 10